Theoretical powder XRD pattern
Compound: Na2NiAgF6
Radiation: Cu Kα X-rays
Structure: a structure optimized by DFT (GGA+U)
Peak positions follow from Bragg's law for the DFT cell and can differ from measured ones.

Top 10 peaks for 2θ from 10° to 90°, by angle:
2θ/deg	I/Imax
20.62	363
22.69	647
30.84	1000
31.47	192
46.35	267
48.22	165
51.22	178
53.35	198
55.64	185
57.77	258

Atomic structure:
a b c (Å): 5.407 5.686 10.163
angles (deg): 90.00 122.02 90.00
Element x y z (fractional)
Na (0.225, 0.062, 0.245)
Na (0.225, 0.438, 0.745)
Na (0.775, 0.562, 0.255)
Na (0.775, 0.938, 0.755)
Ni (0.500, 0.000, 0.000)
Ni (0.500, 0.500, 0.500)
Ag (0.000, 0.000, 0.500)
Ag (0.000, 0.500, 0.000)
F (0.134, 0.193, 0.936)
F (0.134, 0.307, 0.436)
F (0.229, 0.708, 0.918)
F (0.229, 0.792, 0.418)
F (0.416, 0.064, 0.788)
F (0.416, 0.436, 0.288)
F (0.584, 0.564, 0.712)
F (0.584, 0.936, 0.212)
F (0.771, 0.208, 0.582)
F (0.771, 0.292, 0.082)
F (0.866, 0.693, 0.564)
F (0.866, 0.807, 0.064)